Diffraction record for Ba3RuN3. The powder diffraction line list is simulated, not measured: it uses a GGA-PBE-relaxed structure and Cu Kα (λ = 1.5418 Å).

Structure:
abc: 8.2550 8.2550 5.6682
angles: 90.00 90.00 120.00
Space group P6_3/m (No. 176)
Symmetry-distinct sites (fractional):
Ba: 0.0941 0.3625 0.2500 (multiplicity 6)
Ru: 0.3333 0.6667 0.7500 (multiplicity 2)
N: 0.1184 0.4324 0.7500 (multiplicity 6)

Principal peaks in the range 5° ≤ 2θ ≤ 70°, by angle:
two_theta	I/Imax	hkl
24.9	20	2 0 0
26.7	74	1 1 1
29.5	100	2 0 1
31.6	46	0 0 2
33.2	43	1 2 0
46.4	32	1 2 2
55.0	20	2 0 3
58.6	22	2 3 1



Diffraction record for CeYPd6. The powder diffraction line list is simulated, not measured: it uses a GGA-PBE-relaxed structure and Cu Kα (λ = 1.5418 Å).

Structure:
abc: 4.158 4.158 8.237
angles: 90.00 90.00 90.00
Space group P4/mmm (No. 123)
Symmetry-distinct sites (fractional):
Ce: 0.000 0.000 0.000 (multiplicity 1)
Y: 0.000 0.000 0.500 (multiplicity 1)
Pd: 0.000 0.500 0.246 (multiplicity 4)
Pd: 0.500 0.500 0.000 (multiplicity 1)
Pd: 0.500 0.500 0.500 (multiplicity 1)

Principal peaks in the range 5° ≤ 2θ ≤ 70°, by angle:
two_theta	I/Imax	hkl
10.7	2	0 0 1
24.0	1	1 0 1
37.6	100	1 1 2
43.5	33	2 0 0
44.0	16	0 0 4
63.3	11	2 2 0
63.6	21	2 0 4



Diffraction record for Tb7O12. The powder diffraction line list is simulated, not measured: it uses a GGA-PBE-relaxed structure and Cu Kα (λ = 1.5418 Å).

Structure:
abc: 10.1410 10.1410 9.4172
angles: 90.00 90.00 120.00
Space group R-3 (No. 148, hexagonal axes)
Symmetry-distinct sites (fractional):
Tb: 0.0000 0.0000 0.0000 (multiplicity 3)
Tb: 0.0474 0.7886 0.6503 (multiplicity 18)
O: 0.0378 0.8191 0.3981 (multiplicity 18)
O: 0.0453 0.8274 0.8917 (multiplicity 18)

Principal peaks in the range 5° ≤ 2θ ≤ 70°, by angle:
two_theta	I/Imax	hkl
28.5	100	3 -1 1
33.0	34	1 2 2
47.3	22	3 -1 4
47.4	22	4 1 0
56.2	28	1 2 5
56.3	11	2 4 1
59.0	8	6 -2 2
69.3	6	2 4 4



Diffraction record for Mg6Si5. The powder diffraction line list is simulated, not measured: it uses a GGA-PBE-relaxed structure and Cu Kα (λ = 1.5418 Å).

Structure:
abc: 3.978 6.936 15.911
angles: 101.15 96.79 90.53
Space group P1 (No. 1)
Symmetry-distinct sites (fractional):
Mg: 0.000 0.000 0.000 (multiplicity 1)
Mg: 0.019 0.473 0.031 (multiplicity 1)
Mg: 0.078 0.880 0.171 (multiplicity 1)
Mg: 0.126 0.472 0.245 (multiplicity 1)
Mg: 0.279 0.801 0.558 (multiplicity 1)
Mg: 0.438 0.152 0.881 (multiplicity 1)
Mg: 0.472 0.686 0.939 (multiplicity 1)
Mg: 0.560 0.233 0.112 (multiplicity 1)
Mg: 0.705 0.550 0.413 (multiplicity 1)
Mg: 0.744 0.075 0.482 (multiplicity 1)
Mg: 0.814 0.519 0.633 (multiplicity 1)
Mg: 0.855 0.060 0.706 (multiplicity 1)
Si: 0.185 0.188 0.363 (multiplicity 1)
Si: 0.188 0.832 0.380 (multiplicity 1)
Si: 0.249 0.400 0.505 (multiplicity 1)
Si: 0.311 0.200 0.610 (multiplicity 1)
Si: 0.370 0.770 0.738 (multiplicity 1)
Si: 0.374 0.412 0.752 (multiplicity 1)
Si: 0.640 0.775 0.278 (multiplicity 1)
Si: 0.642 0.152 0.272 (multiplicity 1)
Si: 0.913 0.809 0.834 (multiplicity 1)
Si: 0.916 0.434 0.845 (multiplicity 1)

Principal peaks in the range 5° ≤ 2θ ≤ 70°, by angle:
two_theta	I/Imax	hkl
5.7	72	0 0 1
34.6	41	-1 1 4
34.9	38	1 -1 4
35.2	100	-1 2 1
35.4	46	1 2 0
39.1	38	1 0 5
39.3	38	1 0 -6
45.6	65	2 0 -1



Diffraction record for LiAsSe2. The powder diffraction line list is simulated, not measured: it uses a GGA-PBE-relaxed structure and Cu Kα (λ = 1.5418 Å).

Structure:
abc: 3.895 3.895 5.305
angles: 90.00 90.00 90.00
Space group P4/mmm (No. 123)
Symmetry-distinct sites (fractional):
Li: 0.000 0.000 0.000 (multiplicity 1)
As: 0.500 0.500 0.500 (multiplicity 1)
Se: 0.000 0.000 0.500 (multiplicity 1)
Se: 0.500 0.500 0.000 (multiplicity 1)

Principal peaks in the range 5° ≤ 2θ ≤ 70°, by angle:
two_theta	I/Imax	hkl
16.7	23	0 0 1
22.8	22	1 0 0
28.4	29	1 0 1
32.5	100	1 1 0
33.8	45	0 0 2
46.6	36	2 0 0
47.6	67	1 1 2
58.8	35	2 0 2



Diffraction record for CsRuN2. The powder diffraction line list is simulated, not measured: it uses a GGA-PBE-relaxed structure and Cu Kα (λ = 1.5418 Å).

Structure:
abc: 13.746 13.746 8.530
angles: 90.00 90.00 90.00
Space group I4_1 (No. 80)
Symmetry-distinct sites (fractional):
Cs: 0.000 0.000 0.000 (multiplicity 4)
Cs: 0.101 0.301 0.502 (multiplicity 8)
Cs: 0.101 0.802 0.747 (multiplicity 8)
Ru: 0.000 0.000 0.499 (multiplicity 4)
Ru: 0.100 0.300 0.999 (multiplicity 8)
Ru: 0.100 0.800 0.250 (multiplicity 8)
N: 0.000 0.250 0.124 (multiplicity 8)
N: 0.049 0.399 0.874 (multiplicity 8)
N: 0.049 0.899 0.374 (multiplicity 8)
N: 0.150 0.200 0.873 (multiplicity 8)
N: 0.150 0.700 0.376 (multiplicity 8)

Principal peaks in the range 5° ≤ 2θ ≤ 70°, by angle:
two_theta	I/Imax	hkl
29.1	51	4 2 0
29.3	100	1 3 2
41.6	15	2 6 0
51.7	40	7 1 2
52.2	19	4 2 4
60.9	14	2 6 4
68.2	9	10 0 0
68.4	9	3 9 2



Diffraction record for LiGaGe2Se6. The powder diffraction line list is simulated, not measured: it uses a GGA-PBE-relaxed structure and Cu Kα (λ = 1.5418 Å).

Structure:
abc: 7.259 12.751 12.654
angles: 90.00 106.25 90.00
Space group Cc (No. 9)
Symmetry-distinct sites (fractional):
Li: 0.000 0.208 0.000 (multiplicity 4)
Ga: 0.071 0.125 0.592 (multiplicity 4)
Ge: 0.229 0.003 0.868 (multiplicity 4)
Ge: 0.450 0.249 0.815 (multiplicity 4)
Se: 0.032 0.432 0.351 (multiplicity 4)
Se: 0.225 0.035 0.052 (multiplicity 4)
Se: 0.264 0.285 0.630 (multiplicity 4)
Se: 0.270 0.182 0.330 (multiplicity 4)
Se: 0.292 0.329 0.938 (multiplicity 4)
Se: 0.448 0.423 0.246 (multiplicity 4)

Principal peaks in the range 5° ≤ 2θ ≤ 70°, by angle:
two_theta	I/Imax	hkl
14.5	100	0 0 2
24.5	36	1 3 -1
26.7	24	1 3 -2
28.3	26	2 2 -1
29.0	40	0 4 1
29.3	44	1 1 3
29.4	47	0 0 4
50.3	29	2 6 0



Diffraction record for DyScSi. The powder diffraction line list is simulated, not measured: it uses a GGA-PBE-relaxed structure and Cu Kα (λ = 1.5418 Å).

Structure:
abc: 6.148 14.543 9.122
angles: 90.00 90.00 90.00
Space group Amm2 (No. 38)
Symmetry-distinct sites (fractional):
Dy: 0.000 0.000 0.000 (multiplicity 2)
Dy: 0.000 0.127 0.632 (multiplicity 4)
Dy: 0.500 0.000 0.443 (multiplicity 2)
Dy: 0.500 0.138 0.916 (multiplicity 4)
Sc: 0.249 0.154 0.251 (multiplicity 8)
Sc: 0.500 0.176 0.582 (multiplicity 4)
Si: 0.000 0.000 0.342 (multiplicity 2)
Si: 0.000 0.203 0.972 (multiplicity 4)
Si: 0.310 0.000 0.730 (multiplicity 4)
Si: 0.500 0.000 0.133 (multiplicity 2)

Principal peaks in the range 5° ≤ 2θ ≤ 70°, by angle:
two_theta	I/Imax	hkl
24.3	50	1 0 2
25.4	89	1 3 1
29.0	46	2 0 0
33.4	33	1 1 3
34.8	100	0 3 3
35.2	32	2 0 2
35.5	50	1 5 1
36.0	55	2 3 1